[1]
This entry pairs a crystal structure of Rb2ScCuCl6 with its theoretical XRD peak list. Radiation: Cu Ka. Structure: DFT lattice parameters and positions (GGA-PBE).

Main lines, sorted by position (2θ = 10–90°):
22.9 deg, d 3.891, intensity 49; 25.4 deg, d 3.505, intensity 75; 30.2 deg, d 2.956, intensity 73; 32.5 deg, d 2.752, intensity 100; 39.6 deg, d 2.273, intensity 28; 41.7 deg, d 2.164, intensity 36; 46.7 deg, d 1.946, intensity 32; 52.2 deg, d 1.753, intensity 46

Cell and atoms:
```
Rb2ScCuCl6
1.0
-3.8913 3.8913 4.5469
3.8913 -3.8913 4.5469
3.8913 3.8913 -4.5469
Rb Sc Cu Cl
2 1 1 6
direct
0.2500 0.7500 0.5000 Rb
0.7500 0.2500 0.5000 Rb
0.0000 0.0000 0.0000 Sc
0.5000 0.5000 0.0000 Cu
0.2274 0.2274 0.4548 Cl
0.2274 0.7726 0.0000 Cl
0.2677 0.2677 0.0000 Cl
0.7323 0.7323 0.0000 Cl
0.7726 0.2274 0.0000 Cl
0.7726 0.7726 0.5452 Cl
```


[2]
This entry pairs a crystal structure of Rb3Cu2SnCl9 with its theoretical XRD peak list. Radiation: Cu Ka. Structure: DFT lattice parameters and positions (GGA-PBE).

Main lines, sorted by position (2θ = 10–90°):
24.7 deg, d 3.599, intensity 59; 24.8 deg, d 3.584, intensity 61; 30.5 deg, d 2.929, intensity 25; 35.3 deg, d 2.540, intensity 100; 43.7 deg, d 2.071, intensity 40; 50.7 deg, d 1.800, intensity 31; 51.0 deg, d 1.792, intensity 33; 63.5 deg, d 1.464, intensity 16

Cell and atoms:
```
Rb3Cu2SnCl9
1.0
7.1688 0.0000 0.0000
-3.5844 6.2084 0.0000
0.0000 0.0000 8.8345
Rb Cu Sn Cl
3 2 1 9
direct
0.0000 0.0000 0.0000 Rb
0.3333 0.6667 0.6854 Rb
0.6667 0.3333 0.3146 Rb
0.3333 0.6667 0.1433 Cu
0.6667 0.3333 0.8567 Cu
0.0000 0.0000 0.5000 Sn
0.0000 0.5000 0.0000 Cl
0.1709 0.3417 0.3299 Cl
0.1709 0.8291 0.3299 Cl
0.3417 0.1709 0.6701 Cl
0.5000 0.0000 0.0000 Cl
0.5000 0.5000 0.0000 Cl
0.6583 0.8291 0.3299 Cl
0.8291 0.1709 0.6701 Cl
0.8291 0.6583 0.6701 Cl
```


[3]
This entry pairs a crystal structure of RbSrCuCl5 with its theoretical XRD peak list. Radiation: Cu Ka. Structure: DFT lattice parameters and positions (GGA-PBE).

Main lines, sorted by position (2θ = 10–90°):
19.1 deg, d 4.648, intensity 82; 22.4 deg, d 3.977, intensity 100; 23.1 deg, d 3.847, intensity 57; 23.6 deg, d 3.766, intensity 57; 26.9 deg, d 3.318, intensity 42; 32.9 deg, d 2.722, intensity 34; 40.9 deg, d 2.204, intensity 38; 48.3 deg, d 1.886, intensity 35

Cell and atoms:
```
RbSrCuCl5
1.0
4.2643 -6.4133 0.0000
4.2643 6.4133 0.0000
-3.7184 0.0000 9.6146
Rb Sr Cu Cl
2 2 2 10
direct
0.1644 0.8356 0.7500 Rb
0.8356 0.1644 0.2500 Rb
0.5000 0.5000 0.0000 Sr
0.5000 0.5000 0.5000 Sr
0.1744 0.8256 0.2500 Cu
0.8256 0.1744 0.7500 Cu
0.0808 0.1987 0.9194 Cl
0.1987 0.0808 0.4194 Cl
0.2074 0.6334 0.3868 Cl
0.3666 0.7926 0.1132 Cl
0.4132 0.5868 0.7500 Cl
0.5868 0.4132 0.2500 Cl
0.6334 0.2074 0.8868 Cl
0.7926 0.3666 0.6132 Cl
0.8013 0.9192 0.5806 Cl
0.9192 0.8013 0.0806 Cl
```


[4]
This entry pairs a crystal structure of Rb3TlCu2Cl8 with its theoretical XRD peak list. Radiation: Cu Ka. Structure: DFT lattice parameters and positions (GGA-PBE).

Main lines, sorted by position (2θ = 10–90°):
16.8 deg, d 5.284, intensity 23; 23.6 deg, d 3.773, intensity 62; 24.0 deg, d 3.701, intensity 100; 30.8 deg, d 2.900, intensity 22; 33.9 deg, d 2.642, intensity 60; 42.0 deg, d 2.150, intensity 27; 42.3 deg, d 2.137, intensity 22; 49.2 deg, d 1.851, intensity 29

Cell and atoms:
```
Rb3TlCu2Cl8
1.0
7.4022 0.0000 0.0000
-3.7011 6.4105 0.0000
0.0000 0.0000 9.3350
Rb Tl Cu Cl
3 1 2 8
direct
0.0000 0.0000 0.0000 Rb
0.3333 0.6667 0.6316 Rb
0.6667 0.3333 0.3684 Rb
0.0000 0.0000 0.5000 Tl
0.3333 0.6667 0.2026 Cu
0.6667 0.3333 0.7974 Cu
0.1726 0.3452 0.3185 Cl
0.1726 0.8274 0.3185 Cl
0.3333 0.6667 0.9696 Cl
0.3452 0.1726 0.6815 Cl
0.6548 0.8274 0.3185 Cl
0.6667 0.3333 0.0304 Cl
0.8274 0.1726 0.6815 Cl
0.8274 0.6548 0.6815 Cl
```


[5]
This entry pairs a crystal structure of RbTl2CuCl8 with its theoretical XRD peak list. Radiation: Cu Ka. Structure: DFT lattice parameters and positions (GGA-PBE).

Main lines, sorted by position (2θ = 10–90°):
16.7 deg, d 5.313, intensity 33; 19.5 deg, d 4.551, intensity 100; 27.3 deg, d 3.272, intensity 52; 28.2 deg, d 3.168, intensity 31; 33.7 deg, d 2.656, intensity 30; 43.9 deg, d 2.062, intensity 25; 45.1 deg, d 2.010, intensity 32; 48.2 deg, d 1.889, intensity 22

Cell and atoms:
```
RbTl2CuCl8
1.0
3.2715 1.8888 10.1875
-3.2715 1.8888 10.1875
0.0000 -3.7777 10.1875
Rb Tl Cu Cl
1 2 1 8
direct
0.0000 0.0000 0.0000 Rb
0.2431 0.2431 0.2431 Tl
0.7569 0.7569 0.7569 Tl
0.5000 0.5000 0.5000 Cu
0.1575 0.4223 0.7554 Cl
0.2446 0.5777 0.8425 Cl
0.3250 0.3250 0.3250 Cl
0.4223 0.7554 0.1575 Cl
0.5777 0.8425 0.2446 Cl
0.6750 0.6750 0.6750 Cl
0.7554 0.1575 0.4223 Cl
0.8425 0.2446 0.5777 Cl
```


[6]
This entry pairs a crystal structure of Rb3Tl3CuCl8 with its theoretical XRD peak list. Radiation: Cu Ka. Structure: DFT lattice parameters and positions (GGA-PBE).

Main lines, sorted by position (2θ = 10–90°):
11.8 deg, d 7.484, intensity 50; 23.8 deg, d 3.742, intensity 70; 24.1 deg, d 3.699, intensity 22; 27.5 deg, d 3.239, intensity 100; 27.7 deg, d 3.216, intensity 45; 39.3 deg, d 2.295, intensity 50; 39.7 deg, d 2.271, intensity 32; 48.7 deg, d 1.871, intensity 24

Cell and atoms:
```
Rb3Tl3CuCl8
1.0
7.8368 -4.5973 0.0000
7.8368 4.5973 0.0000
-5.2165 0.0000 7.4932
Rb Tl Cu Cl
3 3 1 8
direct
0.0000 0.0000 0.0000 Rb
0.0000 0.5000 0.5000 Rb
0.5000 0.0000 0.5000 Rb
0.0000 0.5000 0.0000 Tl
0.5000 0.0000 0.0000 Tl
0.5000 0.5000 0.5000 Tl
0.5000 0.5000 0.0000 Cu
0.2509 0.2509 0.2480 Cl
0.2926 0.7027 0.2069 Cl
0.2973 0.7074 0.7931 Cl
0.3211 0.3211 0.8225 Cl
0.6789 0.6789 0.1775 Cl
0.7027 0.2926 0.2069 Cl
0.7074 0.2973 0.7931 Cl
0.7491 0.7491 0.7520 Cl
```


[7]
This entry pairs a crystal structure of RbUCu2Cl8 with its theoretical XRD peak list. Radiation: Cu Ka. Structure: DFT lattice parameters and positions (GGA-PBE).

Main lines, sorted by position (2θ = 10–90°):
14.5 deg, d 6.115, intensity 60; 17.4 deg, d 5.092, intensity 100; 24.2 deg, d 3.676, intensity 64; 25.2 deg, d 3.531, intensity 59; 32.0 deg, d 2.801, intensity 29; 35.2 deg, d 2.546, intensity 48; 38.9 deg, d 2.313, intensity 24; 43.8 deg, d 2.065, intensity 27

Cell and atoms:
```
RbUCu2Cl8
1.0
7.0610 0.0000 0.0000
-3.5305 6.1150 0.0000
0.0000 0.0000 9.1988
Rb U Cu Cl
1 1 2 8
direct
0.0000 0.0000 0.0000 Rb
0.0000 0.0000 0.5000 U
0.3333 0.6667 0.2014 Cu
0.6667 0.3333 0.7986 Cu
0.1671 0.3341 0.3322 Cl
0.1671 0.8329 0.3322 Cl
0.3333 0.6667 0.9679 Cl
0.3341 0.1671 0.6678 Cl
0.6659 0.8329 0.3322 Cl
0.6667 0.3333 0.0321 Cl
0.8329 0.1671 0.6678 Cl
0.8329 0.6659 0.6678 Cl
```


[8]
This entry pairs a crystal structure of RbVCuCl5 with its theoretical XRD peak list. Radiation: Cu Ka. Structure: DFT lattice parameters and positions (GGA-PBE).

Main lines, sorted by position (2θ = 10–90°):
21.2 deg, d 4.197, intensity 100; 22.6 deg, d 3.937, intensity 77; 25.8 deg, d 3.449, intensity 61; 26.1 deg, d 3.413, intensity 37; 29.5 deg, d 3.025, intensity 52; 30.6 deg, d 2.922, intensity 39; 41.7 deg, d 2.166, intensity 39; 50.0 deg, d 1.825, intensity 34

Cell and atoms:
```
RbVCuCl5
1.0
4.2500 -5.7557 0.0000
4.2500 5.7557 0.0000
-3.4457 0.0000 8.4761
Rb V Cu Cl
2 2 2 10
direct
0.1563 0.8437 0.7500 Rb
0.8437 0.1563 0.2500 Rb
0.5000 0.5000 0.0000 V
0.5000 0.5000 0.5000 V
0.1910 0.8090 0.2500 Cu
0.8090 0.1910 0.7500 Cu
0.1390 0.2790 0.9280 Cl
0.2110 0.5966 0.4043 Cl
0.2790 0.1390 0.4280 Cl
0.4034 0.7890 0.0957 Cl
0.4373 0.5627 0.7500 Cl
0.5627 0.4373 0.2500 Cl
0.5966 0.2110 0.9043 Cl
0.7210 0.8610 0.5720 Cl
0.7890 0.4034 0.5957 Cl
0.8610 0.7210 0.0720 Cl
```


[9]
This entry pairs a crystal structure of Rb2VCuCl6 with its theoretical XRD peak list. Radiation: Cu Ka. Structure: DFT lattice parameters and positions (GGA-PBE).

Main lines, sorted by position (2θ = 10–90°):
23.9 deg, d 3.724, intensity 32; 25.9 deg, d 3.439, intensity 99; 30.2 deg, d 2.958, intensity 74; 31.3 deg, d 2.855, intensity 43; 33.0 deg, d 2.713, intensity 100; 40.6 deg, d 2.223, intensity 38; 43.3 deg, d 2.092, intensity 34; 53.3 deg, d 1.720, intensity 43

Cell and atoms:
```
Rb2VCuCl6
1.0
-3.7235 4.4462 3.9622
3.7235 -4.4462 3.9622
3.7235 4.4462 -3.9622
Rb V Cu Cl
2 1 1 6
direct
0.2451 0.0000 0.2451 Rb
0.7549 0.0000 0.7549 Rb
0.5043 0.5043 0.0000 V
0.8919 0.3919 0.5000 Cu
0.2583 0.5294 0.7288 Cl
0.2998 0.0752 0.7754 Cl
0.2998 0.5244 0.2246 Cl
0.7368 0.5067 0.7699 Cl
0.7368 0.9669 0.2301 Cl
0.8006 0.5294 0.2712 Cl
```


[10]
This entry pairs a crystal structure of Cu5RhCl12 with its theoretical XRD peak list. Radiation: Cu Ka. Structure: DFT lattice parameters and positions (GGA-PBE).

Main lines, sorted by position (2θ = 10–90°):
14.4 deg, d 6.162, intensity 100; 30.0 deg, d 2.983, intensity 13; 33.2 deg, d 2.702, intensity 15; 34.2 deg, d 2.620, intensity 19; 37.6 deg, d 2.392, intensity 18; 44.5 deg, d 2.036, intensity 14; 49.0 deg, d 1.858, intensity 19; 51.8 deg, d 1.763, intensity 15

Cell and atoms:
```
Cu5RhCl12
1.0
3.0054 -5.5752 0.0000
3.0054 5.5752 0.0000
-2.2143 0.0000 12.3242
Cu Rh Cl
5 1 12
direct
0.0000 0.0000 0.0000 Cu
0.1571 0.8429 0.5000 Cu
0.3335 0.6665 0.0000 Cu
0.6665 0.3335 0.0000 Cu
0.8429 0.1571 0.5000 Cu
0.5000 0.5000 0.5000 Rh
0.0123 0.6784 0.1087 Cl
0.1345 0.4395 0.3981 Cl
0.2336 0.2336 0.6174 Cl
0.3216 0.9877 0.8913 Cl
0.3450 0.3450 0.1083 Cl
0.4395 0.1345 0.3981 Cl
0.5605 0.8655 0.6019 Cl
0.6550 0.6550 0.8917 Cl
0.6784 0.0123 0.1087 Cl
0.7664 0.7664 0.3826 Cl
0.8655 0.5605 0.6019 Cl
0.9877 0.3216 0.8913 Cl
```


[11]
This entry pairs a crystal structure of Cu5RuCl12 with its theoretical XRD peak list. Radiation: Cu Ka. Structure: DFT lattice parameters and positions (GGA-PBE).

Main lines, sorted by position (2θ = 10–90°):
14.2 deg, d 6.229, intensity 100; 26.1 deg, d 3.409, intensity 17; 27.6 deg, d 3.237, intensity 15; 30.9 deg, d 2.894, intensity 14; 35.3 deg, d 2.544, intensity 22; 38.1 deg, d 2.362, intensity 22; 45.3 deg, d 2.002, intensity 20; 47.7 deg, d 1.906, intensity 13

Cell and atoms:
```
Cu5RuCl12
1.0
3.4615 -5.0747 0.0000
3.4615 5.0747 0.0000
-2.2035 0.0000 12.4589
Cu Ru Cl
5 1 12
direct
0.0000 0.0000 0.0000 Cu
0.1702 0.8298 0.5000 Cu
0.3332 0.6668 0.0000 Cu
0.6668 0.3332 0.0000 Cu
0.8298 0.1702 0.5000 Cu
0.5000 0.5000 0.5000 Ru
0.0245 0.6913 0.8896 Cl
0.1646 0.1646 0.4196 Cl
0.2589 0.5962 0.6169 Cl
0.3087 0.9755 0.1104 Cl
0.3579 0.3579 0.8897 Cl
0.4038 0.7411 0.3831 Cl
0.5962 0.2589 0.6169 Cl
0.6421 0.6421 0.1103 Cl
0.6913 0.0245 0.8896 Cl
0.7411 0.4038 0.3831 Cl
0.8354 0.8354 0.5804 Cl
0.9755 0.3087 0.1104 Cl
```


[12]
This entry pairs a crystal structure of Cu2RuCl8 with its theoretical XRD peak list. Radiation: Cu Ka. Structure: DFT lattice parameters and positions (GGA-PBE).

Main lines, sorted by position (2θ = 10–90°):
13.2 deg, d 6.704, intensity 100; 20.6 deg, d 4.315, intensity 31; 21.4 deg, d 4.155, intensity 23; 22.7 deg, d 3.920, intensity 24; 29.2 deg, d 3.063, intensity 13; 30.0 deg, d 2.976, intensity 31; 39.8 deg, d 2.266, intensity 19; 48.2 deg, d 1.889, intensity 19

Cell and atoms:
```
Cu2RuCl8
1.0
6.4963 -3.9198 0.0000
6.4963 3.9198 0.0000
-0.5669 0.0000 5.8779
Cu Ru Cl
2 1 8
direct
0.1774 0.1774 0.1333 Cu
0.8226 0.8226 0.8667 Cu
0.0000 0.0000 0.5000 Ru
0.1345 0.7208 0.7248 Cl
0.1544 0.1544 0.7417 Cl
0.2792 0.8655 0.2752 Cl
0.3410 0.3410 0.2186 Cl
0.6590 0.6590 0.7814 Cl
0.7208 0.1345 0.7248 Cl
0.8456 0.8456 0.2583 Cl
0.8655 0.2792 0.2752 Cl
```